No. 1
This entry pairs a crystal structure of Li2CeO3 with its theoretical powder XRD pattern. Radiation: CuKα. Structure: a cell relaxed with PBE.
Peak positions follow from Bragg's law for the DFT cell and can differ from measured ones.

Cell and atoms:
```
data_Li2CeO3
_cell_length_a 5.5597
_cell_length_b 5.5597
_cell_length_c 5.8771
_cell_angle_alpha 101.30
_cell_angle_beta 101.30
_cell_angle_gamma 118.81
_space_group_name_H-M_alt 'P 1'
_space_group_IT_number 1
_space_group_name_Hall 'P 1'
loop_
_atom_site_label
_atom_site_fract_x
_atom_site_fract_y
_atom_site_fract_z
Li1 0.0698 0.9302 0.7500
Li2 0.2397 0.7603 0.2500
Li3 0.7603 0.2397 0.7500
Li4 0.9302 0.0698 0.2500
Ce1 0.4079 0.5921 0.7500
Ce2 0.5921 0.4079 0.2500
O1 0.0000 0.5000 0.5000
O2 0.1861 0.3396 0.9829
O3 0.3396 0.1861 0.4829
O4 0.5000 0.0000 0.0000
O5 0.6604 0.8139 0.5171
O6 0.8139 0.6604 0.0171
```

Top 6 peaks for 2θ = 10–90°, by intensity:
| 2θ (°) | intensity |
| --- | --- |
| 19.36 | 100.0 |
| 24.81 | 68.7 |
| 39.92 | 45.9 |
| 20.71 | 36.6 |
| 37.52 | 32.8 |
| 32.17 | 23.0 |

No. 2
This entry pairs a crystal structure of AlReB2 with its theoretical powder XRD pattern. Radiation: CuKα. Structure: a cell relaxed with PBE.
Peak positions follow from Bragg's law for the DFT cell and can differ from measured ones.

Cell and atoms:
```
data_AlReB2
_cell_length_a 4.5439
_cell_length_b 4.4955
_cell_length_c 8.1336
_cell_angle_alpha 90.00
_cell_angle_beta 105.35
_cell_angle_gamma 90.00
_space_group_name_H-M_alt 'P 1'
_space_group_IT_number 1
_space_group_name_Hall 'P 1'
loop_
_atom_site_label
_atom_site_fract_x
_atom_site_fract_y
_atom_site_fract_z
Al1 0.1988 0.1296 0.1477
Al2 0.1988 0.8704 0.6477
Al3 0.8012 0.1296 0.3523
Al4 0.8012 0.8704 0.8523
Re1 0.2964 0.3565 0.8640
Re2 0.2964 0.6435 0.3640
Re3 0.7036 0.3565 0.6360
Re4 0.7036 0.6435 0.1360
B1 0.1622 0.3619 0.5644
B2 0.1622 0.6381 0.0644
B3 0.3302 0.1424 0.4355
B4 0.3302 0.8576 0.9355
B5 0.6698 0.1424 0.0645
B6 0.6698 0.8576 0.5645
B7 0.8378 0.3619 0.9356
B8 0.8378 0.6381 0.4356
```

Top 6 peaks for 2θ = 10–90°, by intensity:
| 2θ (°) | intensity |
| --- | --- |
| 22.80 | 100.0 |
| 26.18 | 87.2 |
| 32.69 | 75.1 |
| 19.75 | 73.7 |
| 40.51 | 65.0 |
| 41.81 | 64.4 |

No. 3
This entry pairs a crystal structure of Rb2LiCdAs2 with its theoretical powder XRD pattern. Radiation: CuKα. Structure: a cell relaxed with PBE.
Peak positions follow from Bragg's law for the DFT cell and can differ from measured ones.

Cell and atoms:
```
data_Rb2LiCdAs2
_cell_length_a 9.3577
_cell_length_b 9.3577
_cell_length_c 9.3577
_cell_angle_alpha 138.74
_cell_angle_beta 60.27
_cell_angle_gamma 138.09
_space_group_name_H-M_alt 'P 1'
_space_group_IT_number 1
_space_group_name_Hall 'P 1'
loop_
_atom_site_label
_atom_site_fract_x
_atom_site_fract_y
_atom_site_fract_z
Rb1 0.1713 0.2450 0.4163
Rb2 0.3287 0.7450 0.0736
Rb3 0.6713 0.2550 0.9264
Rb4 0.8287 0.7550 0.5837
Li1 0.2500 0.2500 0.0000
Li2 0.7500 0.7500 0.0000
Cd1 0.2500 0.7500 0.5000
Cd2 0.7500 0.2500 0.5000
As1 0.0912 0.7510 0.8422
As2 0.4088 0.2510 0.6599
As3 0.5912 0.7490 0.3401
As4 0.9088 0.2490 0.1578
```

Top 6 peaks for 2θ = 10–90°, by intensity:
| 2θ (°) | intensity |
| --- | --- |
| 29.13 | 100.0 |
| 38.32 | 62.4 |
| 49.06 | 46.3 |
| 14.50 | 38.4 |
| 34.79 | 34.5 |
| 35.11 | 33.6 |

No. 4
This entry pairs a crystal structure of Te2PbO5 with its theoretical powder XRD pattern. Radiation: CuKα. Structure: a cell relaxed with PBE.
Peak positions follow from Bragg's law for the DFT cell and can differ from measured ones.

Cell and atoms:
```
data_Te2PbO5
_cell_length_a 7.5208
_cell_length_b 12.4185
_cell_length_c 7.1764
_cell_angle_alpha 90.00
_cell_angle_beta 90.00
_cell_angle_gamma 90.00
_space_group_name_H-M_alt 'P 1'
_space_group_IT_number 1
_space_group_name_Hall 'P 1'
loop_
_atom_site_label
_atom_site_fract_x
_atom_site_fract_y
_atom_site_fract_z
Te1 0.1226 0.1707 0.0418
Te2 0.1226 0.8293 0.5418
Te3 0.3774 0.3293 0.5418
Te4 0.3774 0.6707 0.0418
Te5 0.6226 0.3293 0.9582
Te6 0.6226 0.6707 0.4582
Te7 0.8774 0.1707 0.4582
Te8 0.8774 0.8293 0.9582
Pb1 0.0000 0.4449 0.2500
Pb2 0.0000 0.5551 0.7500
Pb3 0.5000 0.0551 0.7500
Pb4 0.5000 0.9449 0.2500
O1 0.0000 0.0940 0.2500
O2 0.0000 0.9060 0.7500
O3 0.1735 0.4160 0.5477
O4 0.1735 0.5840 0.0477
O5 0.2036 0.2897 0.1789
O6 0.2036 0.7103 0.6789
O7 0.2964 0.2103 0.6789
O8 0.2964 0.7897 0.1789
O9 0.3265 0.0840 0.0477
O10 0.3265 0.9160 0.5477
O11 0.5000 0.4060 0.7500
O12 0.5000 0.5940 0.2500
O13 0.6735 0.0840 0.4523
O14 0.6735 0.9160 0.9523
O15 0.7036 0.2103 0.8211
O16 0.7036 0.7897 0.3211
O17 0.7964 0.2897 0.3211
O18 0.7964 0.7103 0.8211
O19 0.8265 0.4160 0.9523
O20 0.8265 0.5840 0.4523
```

Top 6 peaks for 2θ = 10–90°, by intensity:
| 2θ (°) | intensity |
| --- | --- |
| 27.73 | 100.0 |
| 28.48 | 94.2 |
| 24.55 | 90.8 |
| 22.32 | 77.0 |
| 18.52 | 73.8 |
| 27.56 | 71.1 |

No. 5
This entry pairs a crystal structure of SiHg2O2F6 with its theoretical powder XRD pattern. Radiation: CuKα. Structure: a cell relaxed with PBE.
Peak positions follow from Bragg's law for the DFT cell and can differ from measured ones.

Cell and atoms:
```
data_SiHg2O2F6
_cell_length_a 5.7464
_cell_length_b 8.3574
_cell_length_c 9.1509
_cell_angle_alpha 90.00
_cell_angle_beta 124.49
_cell_angle_gamma 90.00
_space_group_name_H-M_alt 'P 1'
_space_group_IT_number 1
_space_group_name_Hall 'P 1'
loop_
_atom_site_label
_atom_site_fract_x
_atom_site_fract_y
_atom_site_fract_z
Si1 0.0000 0.0000 0.0000
Si2 0.0000 0.5000 0.5000
Hg1 0.1250 0.0599 0.6599
Hg2 0.1250 0.4401 0.1599
Hg3 0.8750 0.5599 0.8401
Hg4 0.8750 0.9401 0.3401
O1 0.4633 0.5708 0.9901
O2 0.4633 0.9292 0.4901
O3 0.5367 0.0708 0.5099
O4 0.5367 0.4292 0.0099
F1 0.0894 0.1383 0.1614
F2 0.0894 0.3617 0.6614
F3 0.1418 0.1230 0.9140
F4 0.1418 0.3770 0.4140
F5 0.3222 0.5905 0.6339
F6 0.3222 0.9095 0.1339
F7 0.6778 0.0905 0.8661
F8 0.6778 0.4095 0.3661
F9 0.8582 0.6230 0.5860
F10 0.8582 0.8770 0.0860
F11 0.9106 0.6383 0.3386
F12 0.9106 0.8617 0.8386
```

Top 6 peaks for 2θ = 10–90°, by intensity:
| 2θ (°) | intensity |
| --- | --- |
| 18.76 | 100.0 |
| 21.26 | 41.3 |
| 31.23 | 37.3 |
| 24.35 | 28.7 |
| 38.04 | 25.7 |
| 34.36 | 25.6 |

No. 6
This entry pairs a crystal structure of AcErPO6 with its theoretical powder XRD pattern. Radiation: CuKα. Structure: a cell relaxed with PBE.
Peak positions follow from Bragg's law for the DFT cell and can differ from measured ones.

Cell and atoms:
```
data_AcErPO6
_cell_length_a 5.3458
_cell_length_b 5.3458
_cell_length_c 5.1333
_cell_angle_alpha 90.00
_cell_angle_beta 90.00
_cell_angle_gamma 120.00
_space_group_name_H-M_alt 'P 1'
_space_group_IT_number 1
_space_group_name_Hall 'P 1'
loop_
_atom_site_label
_atom_site_fract_x
_atom_site_fract_y
_atom_site_fract_z
Ac1 0.0000 0.0000 0.0000
Er1 0.3333 0.6667 0.5000
P1 0.6667 0.3333 0.5000
O1 0.4042 0.0678 0.6953
O2 0.4042 0.3364 0.3047
O3 0.6636 0.0678 0.3047
O4 0.6636 0.5958 0.6953
O5 0.9322 0.3364 0.6953
O6 0.9322 0.5958 0.3047
```

Top 6 peaks for 2θ = 10–90°, by intensity:
| 2θ (°) | intensity |
| --- | --- |
| 25.92 | 100.0 |
| 33.53 | 31.7 |
| 49.22 | 30.2 |
| 42.86 | 25.9 |
| 55.48 | 25.2 |
| 19.17 | 16.2 |

No. 7
This entry pairs a crystal structure of BaTmIn4O8 with its theoretical powder XRD pattern. Radiation: CuKα. Structure: a cell relaxed with PBE.
Peak positions follow from Bragg's law for the DFT cell and can differ from measured ones.

Cell and atoms:
```
data_BaTmIn4O8
_cell_length_a 6.8381
_cell_length_b 6.8381
_cell_length_c 6.8381
_cell_angle_alpha 59.78
_cell_angle_beta 59.78
_cell_angle_gamma 59.78
_space_group_name_H-M_alt 'P 1'
_space_group_IT_number 1
_space_group_name_Hall 'P 1'
loop_
_atom_site_label
_atom_site_fract_x
_atom_site_fract_y
_atom_site_fract_z
Ba1 0.0000 0.0000 0.0000
Tm1 0.6261 0.6261 0.6261
In1 0.1200 0.6258 0.6258
In2 0.2489 0.2489 0.2489
In3 0.6258 0.1200 0.6258
In4 0.6258 0.6258 0.1200
O1 0.3832 0.3832 0.8429
O2 0.3832 0.8429 0.3832
O3 0.3885 0.3885 0.3885
O4 0.4395 0.8524 0.8524
O5 0.8429 0.3832 0.3832
O6 0.8524 0.4395 0.8524
O7 0.8524 0.8524 0.4395
O8 0.8522 0.8522 0.8522
```

Top 6 peaks for 2θ = 10–90°, by intensity:
| 2θ (°) | intensity |
| --- | --- |
| 30.70 | 100.0 |
| 26.12 | 33.4 |
| 49.02 | 28.8 |
| 53.61 | 24.4 |
| 53.80 | 24.3 |
| 32.15 | 22.2 |

No. 8
This entry pairs a crystal structure of PaTlGe2O7 with its theoretical powder XRD pattern. Radiation: CuKα. Structure: a cell relaxed with PBE.
Peak positions follow from Bragg's law for the DFT cell and can differ from measured ones.

Cell and atoms:
```
data_PaTlGe2O7
_cell_length_a 3.6100
_cell_length_b 3.6100
_cell_length_c 11.2678
_cell_angle_alpha 90.00
_cell_angle_beta 90.00
_cell_angle_gamma 90.00
_space_group_name_H-M_alt 'P 1'
_space_group_IT_number 1
_space_group_name_Hall 'P 1'
loop_
_atom_site_label
_atom_site_fract_x
_atom_site_fract_y
_atom_site_fract_z
Pa1 0.0000 0.0000 0.0000
Tl1 0.0000 0.0000 0.5000
Ge1 0.5000 0.5000 0.2147
Ge2 0.5000 0.5000 0.7853
O1 0.0000 0.5000 0.1499
O2 0.0000 0.5000 0.8501
O3 0.5000 0.0000 0.1499
O4 0.5000 0.0000 0.8501
O5 0.5000 0.5000 0.0000
O6 0.5000 0.5000 0.3650
O7 0.5000 0.5000 0.6350
```

Top 6 peaks for 2θ = 10–90°, by intensity:
| 2θ (°) | intensity |
| --- | --- |
| 29.38 | 100.0 |
| 35.16 | 32.6 |
| 59.57 | 28.1 |
| 15.73 | 27.5 |
| 48.10 | 26.8 |
| 50.57 | 17.2 |

Please write out number 8 again, unchanged.
This entry pairs a crystal structure of PaTlGe2O7 with its theoretical powder XRD pattern. Radiation: CuKα. Structure: a cell relaxed with PBE.
Peak positions follow from Bragg's law for the DFT cell and can differ from measured ones.

Cell and atoms:
```
data_PaTlGe2O7
_cell_length_a 3.6100
_cell_length_b 3.6100
_cell_length_c 11.2678
_cell_angle_alpha 90.00
_cell_angle_beta 90.00
_cell_angle_gamma 90.00
_space_group_name_H-M_alt 'P 1'
_space_group_IT_number 1
_space_group_name_Hall 'P 1'
loop_
_atom_site_label
_atom_site_fract_x
_atom_site_fract_y
_atom_site_fract_z
Pa1 0.0000 0.0000 0.0000
Tl1 0.0000 0.0000 0.5000
Ge1 0.5000 0.5000 0.2147
Ge2 0.5000 0.5000 0.7853
O1 0.0000 0.5000 0.1499
O2 0.0000 0.5000 0.8501
O3 0.5000 0.0000 0.1499
O4 0.5000 0.0000 0.8501
O5 0.5000 0.5000 0.0000
O6 0.5000 0.5000 0.3650
O7 0.5000 0.5000 0.6350
```

Top 6 peaks for 2θ = 10–90°, by intensity:
| 2θ (°) | intensity |
| --- | --- |
| 29.38 | 100.0 |
| 35.16 | 32.6 |
| 59.57 | 28.1 |
| 15.73 | 27.5 |
| 48.10 | 26.8 |
| 50.57 | 17.2 |